(1)
This entry pairs a crystal structure of Li4Ti3S8 with its calculated XRD peak list. Radiation: CuKα. Structure: a crystal structure in Alexandria, relaxed with GGA-PBE.

Structural model:
Cell: 7.604 7.604 7.604 Å, 55.19 55.19 55.19°
Sites, in units of the cell vectors:
Li  0.000  0.000  0.000
Li  0.137  0.137  0.137
Li  0.500  0.500  0.500
Li  0.863  0.863  0.863
Ti  0.000  0.500  0.500
Ti  0.500  0.000  0.500
Ti  0.500  0.500  0.000
S  0.246  0.246  0.725
S  0.246  0.725  0.246
S  0.262  0.262  0.262
S  0.275  0.754  0.754
S  0.725  0.246  0.246
S  0.738  0.738  0.738
S  0.754  0.275  0.754
S  0.754  0.754  0.275

Principal peaks in the range 15 to 90 degrees two-theta, most intense first:
two_theta  intensity
34.81  100
48.13  34
51.92  32
44.32  23
29.65  17
15.23  15
86.89  15
64.03  14

***

(2)
This entry pairs a crystal structure of Li4TiS4 with its calculated XRD peak list. Radiation: CuKα. Structure: a crystal structure in Alexandria, relaxed with GGA-PBE.

Structural model:
Cell: 7.967 7.800 11.845 Å, 90.00 90.03 90.00°
Sites, in units of the cell vectors:
Li  0.029  0.229  0.124
Li  0.029  0.271  0.624
Li  0.033  0.734  0.625
Li  0.033  0.766  0.125
Li  0.467  0.234  0.125
Li  0.467  0.266  0.625
Li  0.471  0.729  0.624
Li  0.471  0.771  0.124
Li  0.529  0.229  0.876
Li  0.529  0.271  0.376
Li  0.533  0.734  0.375
Li  0.533  0.766  0.875
Li  0.967  0.234  0.875
Li  0.967  0.266  0.375
Li  0.971  0.729  0.376
Li  0.971  0.771  0.876
Ti  0.250  0.000  0.374
Ti  0.250  0.500  0.874
Ti  0.750  0.000  0.626
Ti  0.750  0.500  0.126
S  0.014  0.502  0.767
S  0.014  0.998  0.267
S  0.248  0.247  0.476
S  0.248  0.253  0.976
S  0.252  0.747  0.976
S  0.252  0.753  0.476
S  0.485  0.002  0.267
S  0.485  0.498  0.767
S  0.515  0.502  0.233
S  0.515  0.998  0.733
S  0.748  0.247  0.524
S  0.748  0.253  0.024
S  0.752  0.747  0.024
S  0.752  0.753  0.524
S  0.986  0.002  0.733
S  0.986  0.498  0.233

Principal peaks in the range 15 to 90 degrees two-theta, most intense first:
two_theta  intensity
26.97  100
27.38  100
44.65  88
18.67  66
17.59  59
54.64  26
46.58  23
45.54  23

***

(3)
This entry pairs a crystal structure of Li4Ti5S12 with its calculated XRD peak list. Radiation: CuKα. Structure: a crystal structure in Alexandria, relaxed with GGA-PBE.

Structural model:
Cell: 6.488 11.669 12.032 Å, 72.94 76.42 78.46°
Sites, in units of the cell vectors:
Li  0.144  0.419  0.389
Li  0.191  0.236  0.943
Li  0.228  0.077  0.482
Li  0.349  0.598  0.094
Li  0.651  0.402  0.906
Li  0.772  0.923  0.518
Li  0.809  0.764  0.057
Li  0.856  0.581  0.611
Ti  0.079  0.574  0.853
Ti  0.232  0.908  0.224
Ti  0.311  0.724  0.578
Ti  0.314  0.908  0.823
Ti  0.375  0.407  0.640
Ti  0.625  0.593  0.360
Ti  0.686  0.092  0.177
Ti  0.689  0.276  0.422
Ti  0.768  0.092  0.776
Ti  0.921  0.426  0.147
S  0.034  0.269  0.307
S  0.039  0.417  0.771
S  0.076  0.081  0.843
S  0.157  0.896  0.418
S  0.178  0.738  0.929
S  0.248  0.430  0.015
S  0.255  0.580  0.483
S  0.328  0.269  0.552
S  0.382  0.082  0.116
S  0.400  0.896  0.634
S  0.450  0.736  0.198
S  0.454  0.569  0.727
S  0.546  0.431  0.273
S  0.550  0.264  0.802
S  0.600  0.104  0.366
S  0.618  0.918  0.884
S  0.672  0.731  0.448
S  0.745  0.420  0.517
S  0.752  0.570  0.985
S  0.822  0.262  0.071
S  0.843  0.104  0.582
S  0.924  0.919  0.157
S  0.961  0.583  0.229
S  0.966  0.731  0.693

Principal peaks in the range 15 to 90 degrees two-theta, most intense first:
two_theta  intensity
34.22  100
48.90  58
35.37  49
28.84  40
29.94  32
51.08  30
51.21  28
49.52  28

***

(4)
This entry pairs a crystal structure of LiTi3S6 with its calculated XRD peak list. Radiation: CuKα. Structure: a crystal structure in Alexandria, relaxed with GGA-PBE.

Structural model:
Cell: 3.422 3.422 18.867 Å, 90.00 90.00 120.00°
Sites, in units of the cell vectors:
Li  0.000  0.000  0.000
Ti  0.000  0.000  0.167
Ti  0.000  0.000  0.500
Ti  0.000  0.000  0.833
S  0.333  0.667  0.241
S  0.333  0.667  0.575
S  0.333  0.667  0.913
S  0.667  0.333  0.087
S  0.667  0.333  0.425
S  0.667  0.333  0.759

Principal peaks in the range 15 to 90 degrees two-theta, most intense first:
two_theta  intensity
33.43  100
41.89  69
53.55  58
83.50  17
70.22  13
64.62  12
55.67  12
88.71  11